No. 1
The following is a simulated X-ray powder pattern of NaMo2P3O13. It was derived from a structure optimized by DFT (GGA+U), using Cu Kα (λ = 1.5418 Å).

Top 10 peaks for 10° ≤ 2θ ≤ 90°, in order of falling intensity:
(hkl)  d [Å]  I/Imax
0 1 -2  3.941  100
2 0 0  3.175  51
1 1 0  5.234  50
0 1 2  4.994  49
0 2 2  3.425  39
1 1 2  4.244  26
0 1 4  2.804  22
-1 1 2  3.666  17
2 1 0  3.108  16
0 1 0  7.237  14

Structural model:
Cell: 6.465 7.587 11.358 Å, 75.45 85.34 79.39°
Element x y z (fractional)
Na 0.179 0.414 0.229
Na 0.821 0.586 0.771
Mo 0.261 0.804 0.404
Mo 0.283 0.795 0.910
Mo 0.717 0.205 0.090
Mo 0.739 0.196 0.596
P 0.237 0.067 0.111
P 0.238 0.204 0.665
P 0.379 0.531 0.688
P 0.621 0.469 0.312
P 0.762 0.796 0.335
P 0.763 0.933 0.889
O 0.026 0.271 0.603
O 0.027 0.196 0.132
O 0.190 0.026 0.418
O 0.232 0.013 0.990
O 0.248 0.655 0.582
O 0.253 0.358 0.741
O 0.255 0.017 0.752
O 0.264 0.631 0.044
O 0.279 0.892 0.215
O 0.369 0.620 0.795
O 0.394 0.541 0.346
O 0.403 0.194 0.106
O 0.422 0.215 0.570
O 0.578 0.785 0.430
O 0.597 0.806 0.894
O 0.606 0.459 0.654
O 0.631 0.380 0.205
O 0.721 0.108 0.785
O 0.736 0.369 0.956
O 0.745 0.983 0.248
O 0.747 0.642 0.259
O 0.752 0.345 0.418
O 0.768 0.987 0.010
O 0.810 0.974 0.582
O 0.973 0.804 0.868
O 0.974 0.729 0.397



No. 2
The following is a simulated X-ray powder pattern of NaMo2P2O9. It was derived from a structure optimized by DFT (GGA+U), using Cu Kα (λ = 1.5418 Å).

Top 10 peaks for 10° ≤ 2θ ≤ 90°, in order of falling intensity:
(hkl)  d [Å]  I/Imax
1 0 2  3.828  100
1 2 1  3.021  97
2 0 1  5.373  82
2 0 0  7.304  72
1 0 3  2.604  53
5 0 1  2.741  50
1 1 1  4.832  43
3 0 1  4.150  40
1 0 1  6.971  40
5 2 3  1.692  39

Structural model:
Cell: 14.607 6.705 7.933 Å, 90.00 90.00 90.00°
Element x y z (fractional)
Na 0.225 0.250 0.126
Na 0.275 0.750 0.626
Na 0.725 0.250 0.374
Na 0.775 0.750 0.874
Mo 0.000 0.000 0.000
Mo 0.000 0.500 0.000
Mo 0.118 0.250 0.646
Mo 0.382 0.750 0.146
Mo 0.500 0.000 0.500
Mo 0.500 0.500 0.500
Mo 0.618 0.250 0.854
Mo 0.882 0.750 0.354
P 0.063 0.750 0.651
P 0.194 0.750 0.104
P 0.306 0.250 0.604
P 0.437 0.250 0.151
P 0.563 0.750 0.849
P 0.694 0.750 0.396
P 0.806 0.250 0.896
P 0.937 0.250 0.349
O 0.013 0.750 0.828
O 0.014 0.250 0.481
O 0.051 0.250 0.858
O 0.125 0.566 0.639
O 0.125 0.934 0.639
O 0.135 0.559 0.094
O 0.135 0.941 0.094
O 0.228 0.250 0.466
O 0.246 0.250 0.769
O 0.254 0.750 0.269
O 0.272 0.750 0.966
O 0.365 0.059 0.594
O 0.365 0.441 0.594
O 0.375 0.066 0.139
O 0.375 0.434 0.139
O 0.449 0.750 0.358
O 0.486 0.750 0.981
O 0.487 0.250 0.328
O 0.513 0.750 0.672
O 0.514 0.250 0.019
O 0.551 0.250 0.642
O 0.625 0.566 0.861
O 0.625 0.934 0.861
O 0.635 0.559 0.406
O 0.635 0.941 0.406
O 0.728 0.250 0.034
O 0.746 0.250 0.731
O 0.754 0.750 0.231
O 0.772 0.750 0.534
O 0.865 0.059 0.906
O 0.865 0.441 0.906
O 0.875 0.066 0.361
O 0.875 0.434 0.361
O 0.949 0.750 0.142
O 0.986 0.750 0.519
O 0.987 0.250 0.172